Diffraction record for Li2InBiCl6. The X-ray diffraction stick pattern is calculated, not measured: it uses the GGA-PBE geometry in Alexandria and a wavelength of 1.5418 Å.

Crystal structure
Unit cell a=6.7080 b=6.7094 c=8.5603 alpha=66.95 beta=66.94 gamma=60.01
Space group P1 (No. 1)
One atom of each set of equivalent atoms:
Li (0.0000, 0.0000, 0.0000) [1 per cell]
Li (0.3453, 0.3449, 0.9645) [1 per cell]
In (0.1723, 0.1733, 0.4820) [1 per cell]
Bi (0.6725, 0.6723, 0.9825) [1 per cell]
Cl (0.0805, 0.3899, 0.7918) [1 per cell]
Cl (0.2646, 0.9546, 0.1731) [1 per cell]
Cl (0.3905, 0.7372, 0.7916) [1 per cell]
Cl (0.6076, 0.2643, 0.1732) [1 per cell]
Cl (0.7376, 0.0801, 0.7917) [1 per cell]
Cl (0.9550, 0.6075, 0.1731) [1 per cell]

Top 6 peaks for 5° ≤ 2θ ≤ 70°, sorted by position:
index, d/Å, I_rel
0 0 1, 7.635, 28
1 1 0, 5.181, 100
1 1 2, 4.078, 60
2 2 2, 2.816, 25
2 1 3, 2.520, 64
3 2 1, 2.157, 23